[1]
Structure and simulated X-ray powder pattern of Re2Te4Cl22O (a DFT-relaxed cell (PBE, the Materials Project); Cu Kα (weighted mean of Kα1 and Kα2)).

Atomic structure:
```
data_Re2Te4Cl22O
_chemical_formula_sum 'Re4 Te8 Cl44 O2'
_cell_length_a 9.6128
_cell_length_b 12.2063
_cell_length_c 19.8221
_cell_angle_alpha 90.00
_cell_angle_beta 114.78
_cell_angle_gamma 90.00
_symmetry_space_group_name_H-M 'P 1'
_symmetry_Int_Tables_number 1
loop_
_symmetry_equiv_pos_as_xyz
'x,y,z'
loop_
_atom_site_label
_atom_site_type_symbol
_atom_site_fract_x
_atom_site_fract_y
_atom_site_fract_z
Re1 Re 0.0839 0.0667 0.4412
Re2 Re 0.0839 0.4333 0.9412
Re3 Re 0.9161 0.5667 0.0588
Re4 Re 0.9161 0.9333 0.5588
Te1 Te 0.1929 0.7219 0.5071
Te2 Te 0.1929 0.7781 0.0071
Te3 Te 0.3382 0.0591 0.6751
Te4 Te 0.3382 0.4409 0.1751
Te5 Te 0.6618 0.5591 0.8249
Te6 Te 0.6618 0.9409 0.3249
Te7 Te 0.8071 0.2219 0.9929
Te8 Te 0.8071 0.2781 0.4929
Cl1 Cl 0.0526 0.6074 0.8804
Cl2 Cl 0.0526 0.8926 0.3804
Cl3 Cl 0.0678 0.5958 0.4125
Cl4 Cl 0.0678 0.9042 0.9125
Cl5 Cl 0.1089 0.2402 0.5016
Cl6 Cl 0.1089 0.2598 0.0016
Cl7 Cl 0.1651 0.6340 0.1476
Cl8 Cl 0.1651 0.8660 0.6476
Cl9 Cl 0.1866 0.1396 0.3644
Cl10 Cl 0.1866 0.3604 0.8644
Cl11 Cl 0.2512 0.5905 0.6031
Cl12 Cl 0.2512 0.9095 0.1031
Cl13 Cl 0.3283 0.0680 0.7929
Cl14 Cl 0.3283 0.4320 0.2929
Cl15 Cl 0.3344 0.0141 0.5298
Cl16 Cl 0.3344 0.4859 0.0298
Cl17 Cl 0.4349 0.6980 0.5034
Cl18 Cl 0.4349 0.8020 0.0034
Cl19 Cl 0.4400 0.0472 0.2833
Cl20 Cl 0.4400 0.4528 0.7833
Cl21 Cl 0.4777 0.2249 0.6903
Cl22 Cl 0.4777 0.2751 0.1903
Cl23 Cl 0.5223 0.7249 0.8097
Cl24 Cl 0.5223 0.7751 0.3097
Cl25 Cl 0.5600 0.5472 0.2167
Cl26 Cl 0.5600 0.9528 0.7167
Cl27 Cl 0.5651 0.1980 0.9966
Cl28 Cl 0.5651 0.3020 0.4966
Cl29 Cl 0.6656 0.5141 0.9702
Cl30 Cl 0.6656 0.9859 0.4702
Cl31 Cl 0.6717 0.5680 0.7071
Cl32 Cl 0.6717 0.9320 0.2071
Cl33 Cl 0.7488 0.0905 0.8969
Cl34 Cl 0.7488 0.4095 0.3969
Cl35 Cl 0.8134 0.6396 0.1356
Cl36 Cl 0.8134 0.8604 0.6356
Cl37 Cl 0.8349 0.1340 0.3524
Cl38 Cl 0.8349 0.3660 0.8524
Cl39 Cl 0.8911 0.7402 0.9984
Cl40 Cl 0.8911 0.7598 0.4984
Cl41 Cl 0.9322 0.0958 0.0875
Cl42 Cl 0.9322 0.4042 0.5875
Cl43 Cl 0.9474 0.1074 0.6196
Cl44 Cl 0.9474 0.3926 0.1196
O1 O 0.0000 0.0000 0.5000
O2 O 0.0000 0.5000 0.0000
```

Peak list (8 most intense, 10° ≤ 2θ ≤ 90°, sorted by position)
- 2θ = 10.14°, d = 8.728 Å, I 21
- 2θ = 10.76°, d = 8.219 Å, I 100
- 2θ = 11.74°, d = 7.540 Å, I 49
- 2θ = 16.86°, d = 5.259 Å, I 22
- 2θ = 17.22°, d = 5.149 Å, I 63
- 2θ = 18.37°, d = 4.830 Å, I 23
- 2θ = 24.13°, d = 3.688 Å, I 21
- 2θ = 36.41°, d = 2.467 Å, I 24

***

[2]
Structure and simulated X-ray powder pattern of AgBiO3 (a DFT-relaxed cell (PBE, the Materials Project); Cu Kα (weighted mean of Kα1 and Kα2)).

Atomic structure:
```
data_AgBiO3
_chemical_formula_sum 'Ag2 Bi2 O6'
_cell_length_a 6.3032
_cell_length_b 6.3032
_cell_length_c 6.3032
_cell_angle_alpha 54.56
_cell_angle_beta 54.56
_cell_angle_gamma 54.56
_symmetry_space_group_name_H-M 'P 1'
_symmetry_Int_Tables_number 1
loop_
_symmetry_equiv_pos_as_xyz
'x,y,z'
loop_
_atom_site_label
_atom_site_type_symbol
_atom_site_fract_x
_atom_site_fract_y
_atom_site_fract_z
Ag1 Ag 0.1316 0.1316 0.1316
Ag2 Ag 0.8684 0.8684 0.8684
Bi1 Bi 0.3420 0.3420 0.3420
Bi2 Bi 0.6580 0.6580 0.6580
O1 O 0.0600 0.7083 0.4581
O2 O 0.2917 0.5419 0.9400
O3 O 0.4581 0.0600 0.7083
O4 O 0.5419 0.9400 0.2917
O5 O 0.7083 0.4581 0.0600
O6 O 0.9400 0.2917 0.5419
```

Peak list (8 most intense, 10° ≤ 2θ ≤ 90°, sorted by position)
- 2θ = 16.58°, d = 5.348 Å, I 24
- 2θ = 20.92°, d = 4.246 Å, I 29
- 2θ = 28.52°, d = 3.130 Å, I 85
- 2θ = 30.95°, d = 2.889 Å, I 100
- 2θ = 42.59°, d = 2.123 Å, I 32
- 2θ = 46.26°, d = 1.962 Å, I 46
- 2θ = 53.57°, d = 1.711 Å, I 31
- 2θ = 55.06°, d = 1.668 Å, I 28

***

[3]
Structure and simulated X-ray powder pattern of Na5GdO4 (a DFT-relaxed cell (PBE, the Materials Project); Cu Kα (weighted mean of Kα1 and Kα2)).

Atomic structure:
```
data_Na5GdO4
_chemical_formula_sum 'Na10 Gd2 O8'
_cell_length_a 8.4585
_cell_length_b 6.1374
_cell_length_c 6.1159
_cell_angle_alpha 90.00
_cell_angle_beta 90.00
_cell_angle_gamma 90.00
_symmetry_space_group_name_H-M 'P 1'
_symmetry_Int_Tables_number 1
loop_
_symmetry_equiv_pos_as_xyz
'x,y,z'
loop_
_atom_site_label
_atom_site_type_symbol
_atom_site_fract_x
_atom_site_fract_y
_atom_site_fract_z
Na1 Na 0.0000 0.1611 0.0000
Na2 Na 0.1818 0.5797 0.7211
Na3 Na 0.1920 0.0996 0.5341
Na4 Na 0.3080 0.9004 0.0341
Na5 Na 0.3182 0.4203 0.2211
Na6 Na 0.5000 0.8389 0.5000
Na7 Na 0.6818 0.4203 0.2211
Na8 Na 0.6920 0.9004 0.0341
Na9 Na 0.8080 0.0996 0.5341
Na10 Na 0.8182 0.5797 0.7211
Gd1 Gd 0.0000 0.6614 0.2662
Gd2 Gd 0.5000 0.3386 0.7662
O1 O 0.0000 0.3180 0.3613
O2 O 0.0000 0.7614 0.9274
O3 O 0.2351 0.7595 0.3842
O4 O 0.2649 0.2405 0.8842
O5 O 0.5000 0.2386 0.4274
O6 O 0.5000 0.6820 0.8613
O7 O 0.7351 0.2405 0.8842
O8 O 0.7649 0.7595 0.3842
```

Peak list (8 most intense, 10° ≤ 2θ ≤ 90°, sorted by position)
- 2θ = 17.88°, d = 4.961 Å, I 100
- 2θ = 20.50°, d = 4.332 Å, I 31
- 2θ = 23.07°, d = 3.856 Å, I 19
- 2θ = 31.00°, d = 2.885 Å, I 26
- 2θ = 32.71°, d = 2.738 Å, I 26
- 2θ = 34.42°, d = 2.605 Å, I 39
- 2θ = 35.04°, d = 2.561 Å, I 35
- 2θ = 39.15°, d = 2.301 Å, I 28

***

[4]
Structure and simulated X-ray powder pattern of Li2CuP3H2O10 (a DFT-relaxed cell (PBE, the Materials Project); Cu Kα (weighted mean of Kα1 and Kα2)).

Atomic structure:
```
data_Li2CuP3H2O10
_chemical_formula_sum 'Li4 Cu2 P6 H4 O20'
_cell_length_a 7.3252
_cell_length_b 7.6463
_cell_length_c 8.2353
_cell_angle_alpha 71.39
_cell_angle_beta 73.79
_cell_angle_gamma 71.50
_symmetry_space_group_name_H-M 'P 1'
_symmetry_Int_Tables_number 1
loop_
_symmetry_equiv_pos_as_xyz
'x,y,z'
loop_
_atom_site_label
_atom_site_type_symbol
_atom_site_fract_x
_atom_site_fract_y
_atom_site_fract_z
Li1 Li 0.0827 0.3353 0.3734
Li2 Li 0.1799 0.5979 0.0109
Li3 Li 0.8201 0.4021 0.9891
Li4 Li 0.9173 0.6647 0.6266
Cu1 Cu 0.2126 0.9375 0.6386
Cu2 Cu 0.7874 0.0625 0.3614
P1 P 0.2044 0.1115 0.0855
P2 P 0.2516 0.2904 0.7183
P3 P 0.3119 0.7231 0.3294
P4 P 0.6881 0.2769 0.6706
P5 P 0.7484 0.7096 0.2817
P6 P 0.7956 0.8885 0.9145
H1 H 0.4934 0.7589 0.8368
H2 H 0.5002 0.3778 0.2653
H3 H 0.4998 0.6222 0.7347
H4 H 0.5066 0.2411 0.1632
O1 O 0.0132 0.8593 0.8815
O2 O 0.0962 0.4525 0.7803
O3 O 0.1815 0.7972 0.4825
O4 O 0.2176 0.2158 0.5829
O5 O 0.2676 0.5636 0.2903
O6 O 0.2754 0.2461 0.1396
O7 O 0.2942 0.1122 0.8822
O8 O 0.3189 0.8937 0.1545
O9 O 0.4032 0.7088 0.8034
O10 O 0.4596 0.3463 0.6514
O11 O 0.5404 0.6537 0.3486
O12 O 0.5968 0.2912 0.1966
O13 O 0.6811 0.1063 0.8455
O14 O 0.7058 0.8878 0.1178
O15 O 0.7246 0.7539 0.8604
O16 O 0.7324 0.4364 0.7097
O17 O 0.7824 0.7842 0.4171
O18 O 0.8185 0.2028 0.5175
O19 O 0.9038 0.5475 0.2197
O20 O 0.9868 0.1407 0.1185
```

Peak list (8 most intense, 10° ≤ 2θ ≤ 90°, sorted by position)
- 2θ = 12.62°, d = 7.015 Å, I 71
- 2θ = 15.68°, d = 5.652 Å, I 49
- 2θ = 22.77°, d = 3.905 Å, I 44
- 2θ = 26.07°, d = 3.418 Å, I 36
- 2θ = 26.17°, d = 3.405 Å, I 100
- 2θ = 27.82°, d = 3.207 Å, I 63
- 2θ = 29.29°, d = 3.049 Å, I 36
- 2θ = 30.60°, d = 2.922 Å, I 47

***

[5]
Structure and simulated X-ray powder pattern of SrCoN2 (a DFT-relaxed cell (PBE, the Materials Project); Cu Kα (weighted mean of Kα1 and Kα2)).

Atomic structure:
```
data_SrCoN2
_chemical_formula_sum 'Sr4 Co4 N8'
_cell_length_a 5.9937
_cell_length_b 8.0455
_cell_length_c 5.3401
_cell_angle_alpha 90.00
_cell_angle_beta 115.77
_cell_angle_gamma 90.00
_symmetry_space_group_name_H-M 'P 1'
_symmetry_Int_Tables_number 1
loop_
_symmetry_equiv_pos_as_xyz
'x,y,z'
loop_
_atom_site_label
_atom_site_type_symbol
_atom_site_fract_x
_atom_site_fract_y
_atom_site_fract_z
Sr1 Sr 0.1754 0.0960 0.3346
Sr2 Sr 0.1754 0.4040 0.8346
Sr3 Sr 0.8246 0.5960 0.1654
Sr4 Sr 0.8246 0.9040 0.6654
Co1 Co 0.4162 0.6333 0.5152
Co2 Co 0.4162 0.8667 0.0152
Co3 Co 0.5838 0.1333 0.9848
Co4 Co 0.5838 0.3667 0.4848
N1 N 0.2520 0.0669 0.8594
N2 N 0.2520 0.4331 0.3594
N3 N 0.3550 0.6905 0.8004
N4 N 0.3550 0.8095 0.3004
N5 N 0.6450 0.1905 0.6996
N6 N 0.6450 0.3095 0.1996
N7 N 0.7480 0.5669 0.6406
N8 N 0.7480 0.9331 0.1406
```

Peak list (8 most intense, 10° ≤ 2θ ≤ 90°, sorted by position)
- 2θ = 29.05°, d = 3.073 Å, I 100
- 2θ = 31.83°, d = 2.812 Å, I 81
- 2θ = 32.15°, d = 2.784 Å, I 44
- 2θ = 33.57°, d = 2.670 Å, I 72
- 2θ = 35.07°, d = 2.559 Å, I 50
- 2θ = 37.44°, d = 2.402 Å, I 29
- 2θ = 45.07°, d = 2.011 Å, I 23
- 2θ = 57.34°, d = 1.607 Å, I 41

***

[6]
Structure and simulated X-ray powder pattern of Sm3Pd4 (a DFT-relaxed cell (PBE, the Materials Project); Cu Kα (weighted mean of Kα1 and Kα2)).

Atomic structure:
```
data_Sm3Pd4
_chemical_formula_sum 'Sm6 Pd8'
_cell_length_a 8.0797
_cell_length_b 8.0797
_cell_length_c 8.0797
_cell_angle_alpha 114.44
_cell_angle_beta 114.44
_cell_angle_gamma 114.44
_symmetry_space_group_name_H-M 'P 1'
_symmetry_Int_Tables_number 1
loop_
_symmetry_equiv_pos_as_xyz
'x,y,z'
loop_
_atom_site_label
_atom_site_type_symbol
_atom_site_fract_x
_atom_site_fract_y
_atom_site_fract_z
Sm1 Sm 0.0268 0.4043 0.2783
Sm2 Sm 0.2783 0.0268 0.4043
Sm3 Sm 0.4043 0.2783 0.0268
Sm4 Sm 0.5957 0.7217 0.9732
Sm5 Sm 0.7217 0.9732 0.5957
Sm6 Sm 0.9732 0.5957 0.7217
Pd1 Pd 0.0000 0.0000 0.0000
Pd2 Pd 0.0598 0.2238 0.5526
Pd3 Pd 0.2238 0.5526 0.0598
Pd4 Pd 0.4474 0.9402 0.7762
Pd5 Pd 0.5000 0.5000 0.5000
Pd6 Pd 0.5526 0.0598 0.2238
Pd7 Pd 0.7762 0.4474 0.9402
Pd8 Pd 0.9402 0.7762 0.4474
```

Peak list (8 most intense, 10° ≤ 2θ ≤ 90°, sorted by position)
- 2θ = 31.44°, d = 2.846 Å, I 35
- 2θ = 31.71°, d = 2.822 Å, I 13
- 2θ = 34.95°, d = 2.568 Å, I 100
- 2θ = 36.71°, d = 2.448 Å, I 16
- 2θ = 36.94°, d = 2.433 Å, I 70
- 2θ = 41.61°, d = 2.171 Å, I 17
- 2θ = 49.67°, d = 1.835 Å, I 12
- 2θ = 51.76°, d = 1.766 Å, I 16

***

[7]
Structure and simulated X-ray powder pattern of PaAgO3 (a DFT-relaxed cell (PBE, the Materials Project); Cu Kα (weighted mean of Kα1 and Kα2)).

Atomic structure:
```
data_PaAgO3
_chemical_formula_sum 'Pa1 Ag1 O3'
_cell_length_a 4.3466
_cell_length_b 4.3466
_cell_length_c 4.3466
_cell_angle_alpha 90.00
_cell_angle_beta 90.00
_cell_angle_gamma 90.00
_symmetry_space_group_name_H-M 'P 1'
_symmetry_Int_Tables_number 1
loop_
_symmetry_equiv_pos_as_xyz
'x,y,z'
loop_
_atom_site_label
_atom_site_type_symbol
_atom_site_fract_x
_atom_site_fract_y
_atom_site_fract_z
Pa1 Pa 0.0000 0.0000 0.0000
Ag1 Ag 0.5000 0.5000 0.5000
O1 O 0.0000 0.0000 0.5000
O2 O 0.0000 0.5000 0.0000
O3 O 0.5000 0.0000 0.0000
```

Peak list (8 most intense, 10° ≤ 2θ ≤ 90°, sorted by position)
- 2θ = 20.43°, d = 4.347 Å, I 19
- 2θ = 29.05°, d = 3.074 Å, I 100
- 2θ = 41.55°, d = 2.173 Å, I 28
- 2θ = 46.73°, d = 1.944 Å, I 9
- 2θ = 51.50°, d = 1.775 Å, I 42
- 2θ = 60.22°, d = 1.537 Å, I 18
- 2θ = 68.23°, d = 1.375 Å, I 18
- 2θ = 83.15°, d = 1.162 Å, I 22

***

[8]
Structure and simulated X-ray powder pattern of AsPb2Cl2O3 (a DFT-relaxed cell (PBE, the Materials Project); Cu Kα (weighted mean of Kα1 and Kα2)).

Atomic structure:
```
data_AsPb2Cl2O3
_chemical_formula_sum 'As2 Pb4 Cl4 O6'
_cell_length_a 6.9106
_cell_length_b 5.7029
_cell_length_c 9.1157
_cell_angle_alpha 90.00
_cell_angle_beta 90.37
_cell_angle_gamma 90.00
_symmetry_space_group_name_H-M 'P 1'
_symmetry_Int_Tables_number 1
loop_
_symmetry_equiv_pos_as_xyz
'x,y,z'
loop_
_atom_site_label
_atom_site_type_symbol
_atom_site_fract_x
_atom_site_fract_y
_atom_site_fract_z
As1 As 0.2334 0.2500 0.2137
As2 As 0.7666 0.7500 0.7863
Pb1 Pb 0.0776 0.2500 0.6418
Pb2 Pb 0.2067 0.7500 0.9495
Pb3 Pb 0.7933 0.2500 0.0505
Pb4 Pb 0.9224 0.7500 0.3582
Cl1 Cl 0.2292 0.7500 0.6003
Cl2 Cl 0.3914 0.2500 0.8608
Cl3 Cl 0.6086 0.7500 0.1392
Cl4 Cl 0.7708 0.2500 0.3997
O1 O 0.0864 0.0134 0.1487
O2 O 0.0864 0.4866 0.1487
O3 O 0.2283 0.2500 0.4008
O4 O 0.7717 0.7500 0.5992
O5 O 0.9136 0.5134 0.8513
O6 O 0.9136 0.9866 0.8513
```

Peak list (8 most intense, 10° ≤ 2θ ≤ 90°, sorted by position)
- 2θ = 12.81°, d = 6.911 Å, I 79
- 2θ = 22.47°, d = 3.957 Å, I 64
- 2θ = 25.01°, d = 3.560 Å, I 39
- 2θ = 28.14°, d = 3.171 Å, I 100
- 2θ = 31.37°, d = 2.851 Å, I 46
- 2θ = 31.89°, d = 2.807 Å, I 67
- 2θ = 32.26°, d = 2.775 Å, I 32
- 2θ = 42.27°, d = 2.138 Å, I 34

***

[9]
Structure and simulated X-ray powder pattern of Hg2P2O7 (a DFT-relaxed cell (PBE, the Materials Project); Cu Kα (weighted mean of Kα1 and Kα2)).

Atomic structure:
```
data_Hg2P2O7
_chemical_formula_sum 'Hg4 P4 O14'
_cell_length_a 6.6915
_cell_length_b 6.7889
_cell_length_c 6.8504
_cell_angle_alpha 83.49
_cell_angle_beta 68.46
_cell_angle_gamma 84.95
_symmetry_space_group_name_H-M 'P 1'
_symmetry_Int_Tables_number 1
loop_
_symmetry_equiv_pos_as_xyz
'x,y,z'
loop_
_atom_site_label
_atom_site_type_symbol
_atom_site_fract_x
_atom_site_fract_y
_atom_site_fract_z
Hg1 Hg 0.0962 0.1355 0.2660
Hg2 Hg 0.2605 0.3982 0.7106
Hg3 Hg 0.7395 0.6018 0.2894
Hg4 Hg 0.9038 0.8645 0.7340
P1 P 0.2342 0.6329 0.2198
P2 P 0.3721 0.8880 0.8090
P3 P 0.6279 0.1120 0.1910
P4 P 0.7658 0.3671 0.7802
O1 O 0.0470 0.7717 0.3488
O2 O 0.1376 0.4794 0.1338
O3 O 0.2397 0.7653 0.7273
O4 O 0.2482 0.0850 0.8854
O5 O 0.3786 0.5410 0.3401
O6 O 0.3936 0.7625 0.0196
O7 O 0.3967 0.0894 0.3431
O8 O 0.6033 0.9106 0.6569
O9 O 0.6064 0.2375 0.9804
O10 O 0.6214 0.4590 0.6599
O11 O 0.7518 0.9150 0.1146
O12 O 0.7603 0.2347 0.2727
O13 O 0.8624 0.5206 0.8662
O14 O 0.9530 0.2283 0.6512
```

Peak list (8 most intense, 10° ≤ 2θ ≤ 90°, sorted by position)
- 2θ = 19.44°, d = 4.567 Å, I 47
- 2θ = 19.91°, d = 4.458 Å, I 39
- 2θ = 27.15°, d = 3.284 Å, I 29
- 2θ = 28.12°, d = 3.174 Å, I 63
- 2θ = 28.91°, d = 3.089 Å, I 100
- 2θ = 31.13°, d = 2.873 Å, I 53
- 2θ = 32.32°, d = 2.770 Å, I 29
- 2θ = 36.47°, d = 2.464 Å, I 29

***

[10]
Structure and simulated X-ray powder pattern of Nd2TiCuO6 (a DFT-relaxed cell (PBE, the Materials Project); Cu Kα (weighted mean of Kα1 and Kα2)).

Atomic structure:
```
data_Nd2TiCuO6
_chemical_formula_sum 'Nd4 Ti2 Cu2 O12'
_cell_length_a 5.5017
_cell_length_b 5.8378
_cell_length_c 9.3788
_cell_angle_alpha 90.00
_cell_angle_beta 125.78
_cell_angle_gamma 90.00
_symmetry_space_group_name_H-M 'P 1'
_symmetry_Int_Tables_number 1
loop_
_symmetry_equiv_pos_as_xyz
'x,y,z'
loop_
_atom_site_label
_atom_site_type_symbol
_atom_site_fract_x
_atom_site_fract_y
_atom_site_fract_z
Nd1 Nd 0.2344 0.0683 0.2490
Nd2 Nd 0.2344 0.4317 0.7490
Nd3 Nd 0.7656 0.5683 0.2510
Nd4 Nd 0.7656 0.9317 0.7510
Ti1 Ti 0.5000 0.0000 0.0000
Ti2 Ti 0.5000 0.5000 0.5000
Cu1 Cu 0.0000 0.0000 0.5000
Cu2 Cu 0.0000 0.5000 0.0000
O1 O 0.1631 0.1807 0.9517
O2 O 0.1631 0.3193 0.4517
O3 O 0.2645 0.7129 0.9491
O4 O 0.2645 0.7871 0.4491
O5 O 0.3451 0.0316 0.7483
O6 O 0.3451 0.4684 0.2483
O7 O 0.6549 0.5316 0.7517
O8 O 0.6549 0.9684 0.2517
O9 O 0.7355 0.2129 0.5509
O10 O 0.7355 0.2871 0.0509
O11 O 0.8369 0.6807 0.5483
O12 O 0.8369 0.8193 0.0483
```

Peak list (8 most intense, 10° ≤ 2θ ≤ 90°, sorted by position)
- 2θ = 22.20°, d = 4.004 Å, I 16
- 2θ = 25.13°, d = 3.543 Å, I 23
- 2θ = 30.63°, d = 2.919 Å, I 20
- 2θ = 32.47°, d = 2.758 Å, I 100
- 2θ = 32.55°, d = 2.751 Å, I 27
- 2θ = 32.86°, d = 2.725 Å, I 15
- 2θ = 45.30°, d = 2.002 Å, I 20
- 2θ = 51.22°, d = 1.783 Å, I 20